The following is a simulated X-ray diffraction stick pattern of Ca2Ga4AgAu3. It was derived from a structure optimized by DFT (PBE), using Cu Ka.

Main lines, in order of rising 2θ (5° ≤ 2θ ≤ 70°):
16.18°, rel. 33
21.86°, rel. 82
26.06°, rel. 32
30.00°, rel. 36
31.92°, rel. 46
33.25°, rel. 100
41.25°, rel. 88
44.15°, rel. 98
46.34°, rel. 36
59.75°, rel. 31

Cell: 4.3775 4.3775 10.9549 Å, 90.00 90.00 90.00°
Atoms (fractional coordinates):
Ca1 0.0000 0.5000 0.2485
Ca2 0.5000 0.0000 0.7515
Ga1 0.0000 0.0000 0.0000
Ga2 0.0000 0.5000 0.6325
Ga3 0.5000 0.0000 0.3675
Ga4 0.5000 0.5000 0.0000
Ag1 0.0000 0.0000 0.5000
Au1 0.0000 0.5000 0.8633
Au2 0.5000 0.0000 0.1367
Au3 0.5000 0.5000 0.5000